(1)
Starting from a structure optimized by DFT (GGA-PBE), the X-ray diffraction stick pattern of LiCa2As2 was simulated for a wavelength of 1.5418 Å.
Intensities are scaled so that the largest is 100.

Top 8 peaks for 2θ from 10° to 90°, in order of rising 2θ:
| two_theta | I_rel | h k l |
| --- | --- | --- |
| 15.06 | 31.3 | 1 1 0 |
| 21.36 | 19.7 | 2 0 0 |
| 23.92 | 11.0 | 2 1 0 |
| 34.08 | 27.9 | 3 1 0 |
| 34.94 | 100.0 | 2 1 1 |
| 46.30 | 15.1 | 3 3 0 |
| 52.14 | 17.3 | 4 1 1 |
| 65.94 | 16.8 | 5 2 1 |

Cell and atoms:
```
10
Lattice="8.320 0.000 0.000 0.000 8.320 0.000 0.000 0.000 3.550" Properties=species:S:1:pos:R:3 pbc="T T T"
Li 0.000 0.000 0.000
Li 4.160 4.160 0.000
Ca 1.141 3.019 1.775
Ca 3.019 7.178 1.775
Ca 5.301 1.141 1.775
Ca 7.178 5.301 1.775
As 1.383 5.543 0.000
As 2.777 1.383 0.000
As 5.543 6.937 0.000
As 6.937 2.777 0.000
```

---

(2)
Starting from a structure optimized by DFT (GGA-PBE), the X-ray diffraction stick pattern of Cs3PrNp2O9 was simulated for a wavelength of 1.5418 Å.
Intensities are scaled so that the largest is 100.

Top 8 peaks for 2θ from 10° to 90°, in order of rising 2θ:
| two_theta | I_rel | h k l |
| --- | --- | --- |
| 19.91 | 10.1 | 1 0 1 |
| 28.31 | 100.0 | 1 1 0 |
| 40.46 | 27.6 | 2 0 2 |
| 50.11 | 42.1 | 3 0 0 |
| 58.55 | 17.7 | 2 2 0 |
| 66.29 | 19.0 | 3 1 2 |
| 73.59 | 5.9 | 0 4 2 |
| 80.62 | 22.0 | 4 1 0 |

Cell and atoms:
```
15
Lattice="6.305 0.000 0.000 -3.153 5.460 0.000 0.000 0.000 7.725" Properties=species:S:1:pos:R:3 pbc="T T T"
Cs 0.000 0.000 0.000
Cs 0.000 3.640 5.127
Cs 3.153 1.820 2.598
Pr 0.000 0.000 3.862
Np 0.000 3.640 1.234
Np 3.153 1.820 6.491
O -1.576 2.730 0.000
O 0.000 1.980 2.418
O -1.438 4.470 2.418
O 1.715 0.990 5.306
O 3.153 0.000 0.000
O 1.576 2.730 0.000
O 1.438 4.470 2.418
O 4.590 0.990 5.306
O 3.153 3.480 5.306
```

---

Repeat the first record exactly.
Starting from a structure optimized by DFT (GGA-PBE), the X-ray diffraction stick pattern of LiCa2As2 was simulated for a wavelength of 1.5418 Å.
Intensities are scaled so that the largest is 100.

Top 8 peaks for 2θ from 10° to 90°, in order of rising 2θ:
| two_theta | I_rel | h k l |
| --- | --- | --- |
| 15.06 | 31.3 | 1 1 0 |
| 21.36 | 19.7 | 2 0 0 |
| 23.92 | 11.0 | 2 1 0 |
| 34.08 | 27.9 | 3 1 0 |
| 34.94 | 100.0 | 2 1 1 |
| 46.30 | 15.1 | 3 3 0 |
| 52.14 | 17.3 | 4 1 1 |
| 65.94 | 16.8 | 5 2 1 |

Cell and atoms:
```
10
Lattice="8.320 0.000 0.000 0.000 8.320 0.000 0.000 0.000 3.550" Properties=species:S:1:pos:R:3 pbc="T T T"
Li 0.000 0.000 0.000
Li 4.160 4.160 0.000
Ca 1.141 3.019 1.775
Ca 3.019 7.178 1.775
Ca 5.301 1.141 1.775
Ca 7.178 5.301 1.775
As 1.383 5.543 0.000
As 2.777 1.383 0.000
As 5.543 6.937 0.000
As 6.937 2.777 0.000
```

---

Q: What is the formula in the second record?
A: Cs3PrNp2O9

---

Please write out number 2 again, unchanged.
Starting from a structure optimized by DFT (GGA-PBE), the X-ray diffraction stick pattern of Cs3PrNp2O9 was simulated for a wavelength of 1.5418 Å.
Intensities are scaled so that the largest is 100.

Top 8 peaks for 2θ from 10° to 90°, in order of rising 2θ:
| two_theta | I_rel | h k l |
| --- | --- | --- |
| 19.91 | 10.1 | 1 0 1 |
| 28.31 | 100.0 | 1 1 0 |
| 40.46 | 27.6 | 2 0 2 |
| 50.11 | 42.1 | 3 0 0 |
| 58.55 | 17.7 | 2 2 0 |
| 66.29 | 19.0 | 3 1 2 |
| 73.59 | 5.9 | 0 4 2 |
| 80.62 | 22.0 | 4 1 0 |

Cell and atoms:
```
15
Lattice="6.305 0.000 0.000 -3.153 5.460 0.000 0.000 0.000 7.725" Properties=species:S:1:pos:R:3 pbc="T T T"
Cs 0.000 0.000 0.000
Cs 0.000 3.640 5.127
Cs 3.153 1.820 2.598
Pr 0.000 0.000 3.862
Np 0.000 3.640 1.234
Np 3.153 1.820 6.491
O -1.576 2.730 0.000
O 0.000 1.980 2.418
O -1.438 4.470 2.418
O 1.715 0.990 5.306
O 3.153 0.000 0.000
O 1.576 2.730 0.000
O 1.438 4.470 2.418
O 4.590 0.990 5.306
O 3.153 3.480 5.306
```